Dy8Ga3Co: calculated X-ray powder pattern (CuKα), based on a DFT-relaxed cell (GGA-PBE, OQMD).

Structural model:
```
Dy8Ga3Co
1.0
10.0283 0.0000 0.0000
-5.0141 8.6848 0.0000
0.0000 0.0000 6.8994
Dy Ga Co
16 6 2
Direct
0.0000 0.0000 0.0000
0.0000 0.0000 0.5000
0.0727 0.5364 0.0243
0.1728 0.3456 0.7222
0.1728 0.8272 0.7222
0.3333 0.6667 0.4044
0.3456 0.1728 0.2222
0.4636 0.5364 0.0243
0.4636 0.9273 0.0243
0.5364 0.0727 0.5243
0.5364 0.4636 0.5243
0.6544 0.8272 0.7222
0.6667 0.3333 0.9044
0.8272 0.1728 0.2222
0.8272 0.6544 0.2222
0.9273 0.4636 0.5243
0.1634 0.3269 0.2715
0.1634 0.8366 0.2715
0.3269 0.1634 0.7715
0.6731 0.8366 0.2715
0.8366 0.1634 0.7715
0.8366 0.6731 0.7715
0.3333 0.6667 0.7908
0.6667 0.3333 0.2908
```

Principal peaks in the range 2θ = 10–90°, most intense first:
- 2θ 33.17, intensity 100
- 2θ 35.82, intensity 90
- 2θ 30.15, intensity 46
- 2θ 61.62, intensity 27
- 2θ 31.48, intensity 22
- 2θ 33.57, intensity 20
- 2θ 55.28, intensity 18
- 2θ 24.22, intensity 18
- 2θ 49.61, intensity 17
- 2θ 65.71, intensity 16



TaNbFe2B2: calculated X-ray powder pattern (CuKα), based on a DFT-relaxed cell (GGA-PBE, OQMD).

Structural model:
```
TaNbFe2B2
1.0
3.0827 0.0000 0.0000
0.0000 1.6158 6.9449
0.0000 -1.6158 6.9449
Ta Nb Fe B
1 1 2 2
Direct
0.0000 0.0000 0.0000
0.5000 0.1895 0.1895
0.0000 0.8003 0.8003
0.5000 0.3908 0.3908
0.0000 0.6291 0.6291
0.5000 0.5597 0.5597
```

Principal peaks in the range 2θ = 10–90°, most intense first:
- 2θ 40.98, intensity 100
- 2θ 42.93, intensity 87
- 2θ 39.07, intensity 62
- 2θ 28.36, intensity 57
- 2θ 31.76, intensity 45
- 2θ 45.12, intensity 40
- 2θ 12.75, intensity 33
- 2θ 76.59, intensity 30
- 2θ 49.22, intensity 25
- 2θ 25.65, intensity 24